Record 1
The following is a simulated X-ray diffraction stick pattern of AcFe9Si4. It was derived from a cell relaxed with GGA-PBE, using a wavelength of 1.5418 Å.
Neutral-atom scattering factors, no anomalous dispersion.

Atomic structure:
Cell lengths 8.0868, 8.0868, 8.0868 Å; angles 121.15, 121.15, 88.01 degrees
Fractional positions:
Ac1 0.2500 0.2500 0.0000
Ac2 0.7500 0.7500 0.0000
Fe1 0.0000 0.5000 0.5000
Fe2 0.0618 0.5618 0.2637
Fe3 0.0644 0.7973 0.8617
Fe4 0.2019 0.9382 0.5000
Fe5 0.2027 0.0644 0.2672
Fe6 0.2973 0.5644 0.8617
Fe7 0.2981 0.7981 0.7363
Fe8 0.4356 0.2973 0.7328
Fe9 0.4382 0.7019 0.5000
Fe10 0.5000 0.0000 0.5000
Fe11 0.5618 0.2981 0.5000
Fe12 0.5644 0.7027 0.2672
Fe13 0.7019 0.2019 0.2637
Fe14 0.7027 0.4356 0.1383
Fe15 0.7973 0.9356 0.7328
Fe16 0.7981 0.0618 0.5000
Fe17 0.9356 0.2027 0.1383
Fe18 0.9382 0.4382 0.7363
Si1 0.0576 0.2060 0.5000
Si2 0.2060 0.7060 0.1483
Si3 0.2940 0.4424 0.5000
Si4 0.4424 0.9424 0.1483
Si5 0.5576 0.0576 0.8517
Si6 0.7060 0.5576 0.5000
Si7 0.7940 0.2940 0.8517
Si8 0.9424 0.7940 0.5000

Peak list (10 most intense, 2θ from 15° to 90°, sorted by position)
| 2θ/deg | intensity |
| --- | --- |
| 22.00 | 22.0 |
| 22.38 | 27.0 |
| 27.18 | 28.7 |
| 34.73 | 29.6 |
| 35.49 | 32.7 |
| 35.74 | 22.4 |
| 38.36 | 32.5 |
| 39.05 | 100.0 |
| 46.66 | 21.4 |
| 47.45 | 29.6 |

=====

Record 2
The following is a simulated X-ray diffraction stick pattern of Ac3Fe2Si4. It was derived from a cell relaxed with GGA-PBE, using a wavelength of 1.5418 Å.
Neutral-atom scattering factors, no anomalous dispersion.

Atomic structure:
Cell lengths 6.3035, 6.3035, 8.2763 Å; angles 105.37, 105.37, 38.88 degrees
Fractional positions:
Ac1 0.0000 0.0000 0.0000
Ac2 0.3938 0.3938 0.3120
Ac3 0.6062 0.6062 0.6880
Fe1 0.2945 0.2945 0.6352
Fe2 0.7055 0.7055 0.3648
Si1 0.1336 0.1336 0.3966
Si2 0.2790 0.2790 0.9161
Si3 0.7210 0.7210 0.0839
Si4 0.8664 0.8664 0.6034

Peak list (10 most intense, 2θ from 15° to 90°, sorted by position)
| 2θ/deg | intensity |
| --- | --- |
| 21.58 | 68.7 |
| 24.23 | 100.0 |
| 31.40 | 87.8 |
| 31.76 | 47.5 |
| 33.10 | 73.4 |
| 33.57 | 75.3 |
| 33.86 | 49.2 |
| 36.34 | 36.8 |
| 43.12 | 36.3 |
| 55.41 | 34.7 |

=====

Record 3
The following is a simulated X-ray diffraction stick pattern of AcFe4Si4. It was derived from a cell relaxed with GGA-PBE, using a wavelength of 1.5418 Å.
Neutral-atom scattering factors, no anomalous dispersion.

Atomic structure:
Cell lengths 6.0552, 6.0552, 6.0552 Å; angles 96.46, 96.46, 140.80 degrees
Fractional positions:
Ac1 0.0000 0.0000 0.0000
Fe1 0.1179 0.5928 0.7107
Fe2 0.4072 0.1179 0.5251
Fe3 0.5928 0.8821 0.4749
Fe4 0.8821 0.4072 0.2893
Si1 0.2165 0.3326 0.5491
Si2 0.3326 0.7835 0.1160
Si3 0.6674 0.2165 0.8840
Si4 0.7835 0.6674 0.4509

Peak list (10 most intense, 2θ from 15° to 90°, sorted by position)
| 2θ/deg | intensity |
| --- | --- |
| 22.04 | 33.6 |
| 24.53 | 51.6 |
| 31.36 | 30.6 |
| 33.21 | 100.0 |
| 35.18 | 59.9 |
| 44.61 | 23.4 |
| 46.33 | 43.2 |
| 51.87 | 29.2 |
| 58.04 | 28.1 |
| 61.88 | 28.3 |

=====

Record 4
The following is a simulated X-ray diffraction stick pattern of AcFeSi2Tc. It was derived from a cell relaxed with GGA-PBE, using a wavelength of 1.5418 Å.
Neutral-atom scattering factors, no anomalous dispersion.

Atomic structure:
Cell lengths 4.2034, 4.2034, 10.5537 Å; angles 90.00, 90.00, 90.00 degrees
Fractional positions:
Ac1 0.0000 0.0000 0.0000
Ac2 0.5000 0.5000 0.5000
Fe1 0.0000 0.5000 0.2500
Fe2 0.5000 0.0000 0.7500
Si1 0.0000 0.0000 0.3568
Si2 0.0000 0.0000 0.6432
Si3 0.5000 0.5000 0.1432
Si4 0.5000 0.5000 0.8568
Tc1 0.0000 0.5000 0.7500
Tc2 0.5000 0.0000 0.2500

Peak list (10 most intense, 2θ from 15° to 90°, sorted by position)
| 2θ/deg | intensity |
| --- | --- |
| 22.77 | 73.9 |
| 33.21 | 62.8 |
| 33.98 | 21.1 |
| 34.64 | 100.0 |
| 43.04 | 38.6 |
| 49.23 | 20.5 |
| 55.42 | 29.7 |
| 55.93 | 20.4 |
| 61.23 | 24.5 |
| 73.47 | 22.3 |

=====

Record 5
The following is a simulated X-ray diffraction stick pattern of Ac4TlFe. It was derived from a cell relaxed with GGA-PBE, using a wavelength of 1.5418 Å.
Neutral-atom scattering factors, no anomalous dispersion.

Atomic structure:
Cell lengths 6.8155, 7.5099, 9.6695 Å; angles 109.00, 104.14, 102.73 degrees
Fractional positions:
Ac1 0.0426 0.3476 0.2252
Ac2 0.1907 0.8731 0.2306
Ac3 0.2921 0.3070 0.6173
Ac4 0.4313 0.2291 0.9988
Ac5 0.5687 0.7709 0.0012
Ac6 0.7079 0.6930 0.3827
Ac7 0.8093 0.1269 0.7694
Ac8 0.9574 0.6524 0.7748
Tl1 0.2940 0.7895 0.5822
Tl2 0.7060 0.2105 0.4178
Fe1 0.1678 0.4932 0.9766
Fe2 0.8322 0.5068 0.0234

Peak list (10 most intense, 2θ from 15° to 90°, sorted by position)
| 2θ/deg | intensity |
| --- | --- |
| 26.35 | 33.8 |
| 26.57 | 40.2 |
| 26.83 | 72.7 |
| 28.99 | 100.0 |
| 29.26 | 65.7 |
| 29.53 | 84.7 |
| 29.89 | 54.2 |
| 32.29 | 30.6 |
| 34.23 | 65.9 |
| 51.39 | 28.8 |

=====

Record 6
The following is a simulated X-ray diffraction stick pattern of AcGa7. It was derived from a cell relaxed with GGA-PBE, using a wavelength of 1.5418 Å.
Neutral-atom scattering factors, no anomalous dispersion.

Atomic structure:
Cell lengths 10.4038, 7.6590, 4.7462 Å; angles 90.00, 113.90, 90.00 degrees
Fractional positions:
Ac1 0.0000 0.0000 0.0000
Ac2 0.5000 0.5000 0.0000
Ga1 0.0000 0.5000 0.0000
Ga2 0.1432 0.3200 0.6659
Ga3 0.1432 0.6800 0.6659
Ga4 0.2417 0.0000 0.7047
Ga5 0.2583 0.5000 0.2953
Ga6 0.3568 0.1800 0.3341
Ga7 0.3568 0.8200 0.3341
Ga8 0.5000 0.0000 0.0000
Ga9 0.6432 0.1800 0.6659
Ga10 0.6432 0.8200 0.6659
Ga11 0.7417 0.5000 0.7047
Ga12 0.7583 0.0000 0.2953
Ga13 0.8568 0.3200 0.3341
Ga14 0.8568 0.6800 0.3341

Peak list (10 most intense, 2θ from 15° to 90°, sorted by position)
| 2θ/deg | intensity |
| --- | --- |
| 23.23 | 33.6 |
| 28.34 | 36.9 |
| 29.73 | 45.2 |
| 31.15 | 60.9 |
| 31.80 | 100.0 |
| 33.11 | 86.0 |
| 34.91 | 52.3 |
| 36.44 | 36.7 |
| 37.98 | 74.6 |
| 44.87 | 68.1 |

=====

Record 7
The following is a simulated X-ray diffraction stick pattern of Ac5Ga2. It was derived from a cell relaxed with GGA-PBE, using a wavelength of 1.5418 Å.
Neutral-atom scattering factors, no anomalous dispersion.

Atomic structure:
Cell lengths 9.8354, 9.8354, 9.8354 Å; angles 128.46, 69.45, 136.81 degrees
Fractional positions:
Ac1 0.0138 0.2500 0.7638
Ac2 0.0782 0.6549 0.7330
Ac3 0.2500 0.2500 0.0000
Ac4 0.4218 0.1549 0.5767
Ac5 0.4862 0.2500 0.2362
Ac6 0.5138 0.7500 0.7638
Ac7 0.5782 0.8451 0.4233
Ac8 0.7500 0.7500 0.0000
Ac9 0.9218 0.3451 0.2670
Ac10 0.9862 0.7500 0.2362
Ga1 0.1252 0.2698 0.3950
Ga2 0.3748 0.7698 0.1446
Ga3 0.6252 0.2302 0.8554
Ga4 0.8748 0.7302 0.6050

Peak list (10 most intense, 2θ from 15° to 90°, sorted by position)
| 2θ/deg | intensity |
| --- | --- |
| 26.99 | 30.6 |
| 27.32 | 100.0 |
| 29.38 | 34.4 |
| 29.53 | 43.3 |
| 30.43 | 76.1 |
| 31.87 | 43.7 |
| 32.41 | 85.5 |
| 33.23 | 92.9 |
| 49.51 | 55.7 |
| 60.06 | 32.6 |

=====

Record 8
The following is a simulated X-ray diffraction stick pattern of AcGa3. It was derived from a cell relaxed with GGA-PBE, using a wavelength of 1.5418 Å.
Neutral-atom scattering factors, no anomalous dispersion.

Atomic structure:
Cell lengths 4.3565, 4.3565, 5.3062 Å; angles 90.00, 90.00, 90.00 degrees
Fractional positions:
Ac1 0.0000 0.0000 0.0000
Ga1 0.0000 0.5000 0.4841
Ga2 0.5000 0.0000 0.4841
Ga3 0.5000 0.5000 0.7952

Peak list (10 most intense, 2θ from 15° to 90°, sorted by position)
| 2θ/deg | intensity |
| --- | --- |
| 20.39 | 23.0 |
| 26.47 | 52.3 |
| 33.64 | 100.0 |
| 33.78 | 15.1 |
| 39.78 | 32.8 |
| 41.45 | 34.9 |
| 49.86 | 19.3 |
| 54.51 | 15.7 |
| 58.80 | 21.2 |
| 70.66 | 30.4 |

=====

Record 9
The following is a simulated X-ray diffraction stick pattern of Ac4Ga3. It was derived from a cell relaxed with GGA-PBE, using a wavelength of 1.5418 Å.
Neutral-atom scattering factors, no anomalous dispersion.

Atomic structure:
Cell lengths 12.9297, 12.9297, 4.8099 Å; angles 90.00, 90.00, 120.00 degrees
Fractional positions:
Ac1 0.0155 0.2440 0.2481
Ac2 0.1349 0.6126 0.2533
Ac3 0.2285 0.9845 0.2481
Ac4 0.2440 0.2285 0.7519
Ac5 0.3874 0.5224 0.2533
Ac6 0.4776 0.8651 0.2533
Ac7 0.5224 0.1349 0.7467
Ac8 0.6126 0.4776 0.7467
Ac9 0.7560 0.7715 0.2481
Ac10 0.7715 0.0155 0.7519
Ac11 0.8651 0.3874 0.7467
Ac12 0.9845 0.7560 0.7519
Ga1 0.0000 0.0000 0.0000
Ga2 0.1601 0.4368 0.7511
Ga3 0.2767 0.8399 0.7511
Ga4 0.3333 0.6667 0.7547
Ga5 0.4368 0.2767 0.2489
Ga6 0.5632 0.7233 0.7511
Ga7 0.6667 0.3333 0.2453
Ga8 0.7233 0.1601 0.2489
Ga9 0.8399 0.5632 0.2489

Peak list (10 most intense, 2θ from 15° to 90°, sorted by position)
| 2θ/deg | intensity |
| --- | --- |
| 28.08 | 100.0 |
| 28.75 | 32.5 |
| 30.31 | 28.6 |
| 36.78 | 18.6 |
| 37.39 | 18.5 |
| 46.91 | 11.4 |
| 47.84 | 13.8 |
| 53.46 | 10.3 |
| 54.63 | 23.9 |
| 61.88 | 11.3 |

=====

Record 10
The following is a simulated X-ray diffraction stick pattern of Ac6GaGe3. It was derived from a cell relaxed with GGA-PBE, using a wavelength of 1.5418 Å.
Neutral-atom scattering factors, no anomalous dispersion.

Atomic structure:
Cell lengths 6.7602, 8.8258, 13.8177 Å; angles 90.00, 119.01, 90.00 degrees
Fractional positions:
Ac1 0.0565 0.1724 0.4203
Ac2 0.0565 0.3276 0.9203
Ac3 0.2832 0.6758 0.4184
Ac4 0.2832 0.8242 0.9184
Ac5 0.3887 0.0447 0.2511
Ac6 0.3887 0.4553 0.7511
Ac7 0.6113 0.5447 0.2489
Ac8 0.6113 0.9553 0.7489
Ac9 0.7168 0.1758 0.0816
Ac10 0.7168 0.3242 0.5816
Ac11 0.9435 0.6724 0.0797
Ac12 0.9435 0.8276 0.5797
Ga1 0.0000 0.0000 0.0000
Ga2 0.0000 0.5000 0.5000
Ge1 0.1639 0.1176 0.7512
Ge2 0.1639 0.3824 0.2512
Ge3 0.5000 0.0000 0.5000
Ge4 0.5000 0.5000 0.0000
Ge5 0.8361 0.6176 0.7488
Ge6 0.8361 0.8824 0.2488

Peak list (10 most intense, 2θ from 15° to 90°, sorted by position)
| 2θ/deg | intensity |
| --- | --- |
| 21.44 | 29.3 |
| 25.20 | 45.9 |
| 25.69 | 44.8 |
| 25.80 | 41.1 |
| 27.64 | 38.4 |
| 27.74 | 40.7 |
| 28.29 | 100.0 |
| 29.24 | 75.4 |
| 33.21 | 52.7 |
| 46.95 | 30.0 |

=====

Record 11
The following is a simulated X-ray diffraction stick pattern of Ac8GaGe2. It was derived from a cell relaxed with GGA-PBE, using a wavelength of 1.5418 Å.
Neutral-atom scattering factors, no anomalous dispersion.

Atomic structure:
Cell lengths 10.6812, 10.6812, 7.3680 Å; angles 100.89, 100.89, 29.48 degrees
Fractional positions:
Ac1 0.0286 0.0286 0.2781
Ac2 0.2102 0.2102 0.8412
Ac3 0.3376 0.3376 0.5099
Ac4 0.4109 0.4109 0.0426
Ac5 0.5891 0.5891 0.9574
Ac6 0.6624 0.6624 0.4901
Ac7 0.7898 0.7898 0.1588
Ac8 0.9714 0.9714 0.7219
Ga1 0.5000 0.5000 0.5000
Ge1 0.1871 0.1871 0.2668
Ge2 0.8129 0.8129 0.7332

Peak list (10 most intense, 2θ from 15° to 90°, sorted by position)
| 2θ/deg | intensity |
| --- | --- |
| 25.66 | 81.4 |
| 27.44 | 73.8 |
| 28.30 | 58.3 |
| 29.29 | 100.0 |
| 30.74 | 32.2 |
| 31.35 | 26.7 |
| 32.96 | 73.1 |
| 35.17 | 34.0 |
| 52.71 | 33.6 |
| 56.88 | 27.4 |

=====

Record 12
The following is a simulated X-ray diffraction stick pattern of Ac5Ga2Ge4. It was derived from a cell relaxed with GGA-PBE, using a wavelength of 1.5418 Å.
Neutral-atom scattering factors, no anomalous dispersion.

Atomic structure:
Cell lengths 10.4936, 10.4936, 7.7584 Å; angles 103.39, 103.39, 24.83 degrees
Fractional positions:
Ac1 0.0000 0.0000 0.0000
Ac2 0.3358 0.3358 0.0572
Ac3 0.3495 0.3495 0.5749
Ac4 0.6505 0.6505 0.4251
Ac5 0.6642 0.6642 0.9428
Ga1 0.0783 0.0783 0.6259
Ga2 0.9217 0.9217 0.3741
Ge1 0.2125 0.2125 0.7127
Ge2 0.4826 0.4826 0.3244
Ge3 0.5174 0.5174 0.6756
Ge4 0.7875 0.7875 0.2873

Peak list (10 most intense, 2θ from 15° to 90°, sorted by position)
| 2θ/deg | intensity |
| --- | --- |
| 23.61 | 22.1 |
| 23.86 | 91.3 |
| 26.86 | 36.0 |
| 31.41 | 100.0 |
| 32.07 | 24.4 |
| 36.06 | 23.7 |
| 37.37 | 23.9 |
| 39.96 | 32.6 |
| 46.93 | 21.9 |
| 51.71 | 25.1 |

=====

Record 13
The following is a simulated X-ray diffraction stick pattern of Ac4Ga2Ge. It was derived from a cell relaxed with GGA-PBE, using a wavelength of 1.5418 Å.
Neutral-atom scattering factors, no anomalous dispersion.

Atomic structure:
Cell lengths 17.4538, 4.5368, 6.2558 Å; angles 90.00, 105.74, 90.00 degrees
Fractional positions:
Ac1 0.1002 0.0000 0.0083
Ac2 0.1398 0.5000 0.5443
Ac3 0.3602 0.0000 0.4557
Ac4 0.3998 0.5000 0.9917
Ac5 0.6002 0.5000 0.0083
Ac6 0.6398 0.0000 0.5443
Ac7 0.8602 0.5000 0.4557
Ac8 0.8998 0.0000 0.9917
Ga1 0.2372 0.5000 0.1281
Ga2 0.2628 0.0000 0.8719
Ga3 0.7372 0.0000 0.1281
Ga4 0.7628 0.5000 0.8719
Ge1 0.0000 0.0000 0.5000
Ge2 0.5000 0.5000 0.5000

Peak list (10 most intense, 2θ from 15° to 90°, sorted by position)
| 2θ/deg | intensity |
| --- | --- |
| 21.15 | 48.6 |
| 24.27 | 68.0 |
| 25.26 | 27.3 |
| 25.99 | 57.7 |
| 29.67 | 55.1 |
| 31.52 | 100.0 |
| 33.27 | 94.3 |
| 38.98 | 26.9 |
| 39.73 | 41.5 |
| 50.38 | 57.1 |